For CaThIrO6, a cell relaxed with GGA-PBE gives the simulated powder X-ray diffraction pattern in this record (Cu Kα).

Cell and atoms:
Lattice parameters (Å, degrees): 5.083 5.083 10.211 90.00 90.00 90.00
Space group P4_2nm (No. 102)
Symmetry-distinct sites (fractional):
Ca 0.000 0.000 0.000 [2 per cell]
Th 0.000 0.000 0.337 [2 per cell]
Ir 0.000 0.000 0.670 [2 per cell]
O 0.180 0.180 0.526 [4 per cell]
O 0.185 0.185 0.812 [4 per cell]
O 0.229 0.229 0.175 [4 per cell]

Most intense lines, 10 to 90 degrees two-theta, by intensity:
hkl	2theta	intensity
1 1 0	24.77	1000
1 0 3	31.64	889
2 1 3	48.13	694
1 0 1	19.51	461
2 0 0	35.31	264
3 0 3	61.09	198
3 2 3	72.57	177
3 1 0	57.32	173
2 2 0	50.80	170
1 1 6	60.16	170